Entry 1:
MgV2O2F4: computed powder XRD pattern (a wavelength of 1.5418 Å), based on the GGA+U geometry in the Materials Project.
Neutral-atom scattering factors, no anomalous dispersion.

Principal peaks in the range 2θ = 10–90°, sorted by position:
| 2θ/deg | Rel. int. | h k l |
| --- | --- | --- |
| 19.85 | 25.7 | 1 0 0 |
| 22.82 | 100.0 | 1 0 1 |
| 24.25 | 64.7 | 1 1 0 |
| 31.70 | 28.8 | 1 -1 0 |
| 32.81 | 45.3 | 1 0 -1 |
| 33.26 | 42.5 | 1 1 2 |
| 46.61 | 41.4 | 0 2 2 |
| 49.68 | 24.1 | 2 2 0 |
| 51.44 | 25.7 | 2 -1 1 |
| 58.12 | 26.0 | 0 3 1 |

Crystal structure
```
MgV2O2F4
1.0
5.2516 0.0000 0.0000
2.2248 4.7649 0.0000
2.5538 1.6236 4.4688
Mg V O F
1 2 2 4
direct
0.0000 0.0000 0.0000
0.3042 0.1952 0.2617
0.8034 0.6945 0.7484
0.0020 0.9968 0.5077
0.6519 0.3469 0.0045
0.0470 0.5906 0.0305
0.1659 0.3779 0.5785
0.4062 0.9515 0.9806
0.6218 0.8336 0.4307
```

Entry 2:
NaSr2CrF8: computed powder XRD pattern (a wavelength of 1.5418 Å), based on the GGA+U geometry in the Materials Project.
Neutral-atom scattering factors, no anomalous dispersion.

Principal peaks in the range 2θ = 10–90°, sorted by position:
| 2θ/deg | Rel. int. | h k l |
| --- | --- | --- |
| 23.73 | 45.0 | 1 0 -4 |
| 26.83 | 87.5 | 2 1 -2 |
| 27.64 | 41.7 | 1 1 -4 |
| 28.08 | 48.7 | 0 2 0 |
| 28.20 | 100.0 | 2 1 0 |
| 29.20 | 63.8 | 0 1 4 |
| 42.05 | 35.5 | 2 0 4 |
| 45.08 | 29.9 | 1 3 -2 |
| 46.42 | 36.3 | 4 0 -2 |
| 48.90 | 64.9 | 1 0 -8 |

Crystal structure
```
NaSr2CrF8
1.0
7.8826 0.0000 0.0000
0.0000 6.3557 0.0000
-5.6959 0.0000 13.9553
Na Sr Cr F
4 8 4 32
direct
0.1410 0.1732 0.4407
0.1410 0.3268 0.9407
0.8590 0.6732 0.0593
0.8590 0.8268 0.5593
0.0974 0.2209 0.1973
0.0974 0.2791 0.6973
0.4143 0.6573 0.3557
0.4143 0.8427 0.8557
0.5857 0.1573 0.1443
0.5857 0.3427 0.6443
0.9026 0.7209 0.3027
0.9026 0.7791 0.8027
0.3066 0.7220 0.0973
0.3066 0.7780 0.5973
0.6934 0.2220 0.4027
0.6934 0.2780 0.9027
0.0809 0.6982 0.9844
0.0809 0.8018 0.4844
0.1456 0.0541 0.8433
0.1456 0.4459 0.3433
0.1753 0.6238 0.1775
0.1753 0.8762 0.6775
0.1839 0.5556 0.8261
0.1839 0.9444 0.3261
0.2549 0.0179 0.1105
0.2549 0.4821 0.6105
0.3557 0.0699 0.5820
0.3557 0.4301 0.0820
0.4529 0.6854 0.5273
0.4529 0.8146 0.0273
0.4725 0.2354 0.7843
0.4725 0.2646 0.2843
0.5275 0.7354 0.7157
0.5275 0.7646 0.2157
0.5471 0.1854 0.9727
0.5471 0.3146 0.4727
0.6443 0.5699 0.9180
0.6443 0.9301 0.4180
0.7451 0.5179 0.3895
0.7451 0.9821 0.8895
0.8161 0.0556 0.6739
0.8161 0.4444 0.1739
0.8247 0.1238 0.3225
0.8247 0.3762 0.8225
0.8544 0.5541 0.6567
0.8544 0.9459 0.1567
0.9191 0.1982 0.5156
0.9191 0.3018 0.0156
```

Entry 3:
Ca5Co3Si4O16: computed powder XRD pattern (a wavelength of 1.5418 Å), based on the GGA+U geometry in the Materials Project.
Neutral-atom scattering factors, no anomalous dispersion.

Principal peaks in the range 2θ = 10–90°, sorted by position:
| 2θ/deg | Rel. int. | h k l |
| --- | --- | --- |
| 15.73 | 100.0 | 0 0 2 |
| 29.71 | 82.8 | 1 0 3 |
| 30.07 | 71.3 | 1 0 -3 |
| 33.31 | 95.0 | 1 2 1 |
| 33.81 | 54.7 | 1 2 -1 |
| 33.98 | 56.1 | -1 2 1 |
| 34.23 | 51.3 | 1 -2 1 |
| 49.43 | 65.2 | 2 -2 2 |
| 56.32 | 50.6 | 0 4 0 |
| 57.25 | 38.6 | 0 2 -6 |

Crystal structure
```
Ca5Co3Si4O16
1.0
4.9416 0.0000 0.0000
0.1164 6.5370 0.0000
0.1452 0.3060 11.2646
Ca Co Si O
5 3 4 16
direct
0.0000 0.0000 0.0000
0.0191 0.7465 0.7201
0.4794 0.7467 0.2260
0.5206 0.2533 0.7740
0.9809 0.2535 0.2799
0.0000 0.5000 0.0000
0.5000 0.0000 0.5000
0.5000 0.5000 0.5000
0.0891 0.2511 0.5822
0.4188 0.2661 0.0877
0.5812 0.7339 0.9123
0.9109 0.7489 0.4178
0.2193 0.4507 0.6470
0.2224 0.0457 0.6501
0.2442 0.7466 0.4211
0.2464 0.2517 0.4497
0.2507 0.7330 0.9135
0.2668 0.4619 0.1525
0.2824 0.2692 0.9525
0.2984 0.0582 0.1566
0.7016 0.9418 0.8434
0.7176 0.7308 0.0475
0.7332 0.5381 0.8475
0.7493 0.2670 0.0865
0.7536 0.7483 0.5503
0.7558 0.2534 0.5789
0.7776 0.9543 0.3499
0.7807 0.5493 0.3530
```

Entry 4:
LiFePO4F: computed powder XRD pattern (a wavelength of 1.5418 Å), based on the GGA+U geometry in the Materials Project.
Neutral-atom scattering factors, no anomalous dispersion.

Principal peaks in the range 2θ = 10–90°, sorted by position:
| 2θ/deg | Rel. int. | h k l |
| --- | --- | --- |
| 17.85 | 41.7 | 0 1 0 |
| 18.36 | 34.9 | 1 0 -1 |
| 18.59 | 69.1 | 1 0 0 |
| 22.31 | 31.5 | 1 -1 0 |
| 25.78 | 24.1 | -1 1 1 |
| 26.52 | 100.0 | 1 0 -2 |
| 26.77 | 94.6 | 0 1 -2 |
| 29.04 | 98.3 | 1 1 0 |
| 36.28 | 34.6 | 1 -2 0 |
| 54.73 | 26.1 | 1 -3 2 |

Crystal structure
```
LiFePO4F
1.0
5.2117 0.0000 0.0000
-0.7356 5.3149 0.0000
-2.3790 -2.4842 6.5489
Li Fe P O F
2 2 2 8 2
direct
0.2312 0.3862 0.3126
0.7688 0.6138 0.6874
0.5000 0.0000 0.0000
0.5000 0.0000 0.5000
0.1778 0.3585 0.7369
0.8222 0.6415 0.2631
0.1320 0.7577 0.4159
0.1909 0.6586 0.8407
0.2519 0.2128 0.8896
0.3743 0.3354 0.6132
0.6257 0.6646 0.3868
0.7481 0.7872 0.1104
0.8091 0.3414 0.1593
0.8680 0.2423 0.5841
0.3709 0.0709 0.2364
0.6291 0.9291 0.7635
```

Entry 5:
SrMgCrO3: computed powder XRD pattern (a wavelength of 1.5418 Å), based on the GGA+U geometry in the Materials Project.
Neutral-atom scattering factors, no anomalous dispersion.

Principal peaks in the range 2θ = 10–90°, sorted by position:
| 2θ/deg | Rel. int. | h k l |
| --- | --- | --- |
| 18.34 | 89.3 | 1 1 0 |
| 28.18 | 27.7 | 1 1 -1 |
| 29.16 | 66.9 | 0 2 0 |
| 29.94 | 48.2 | 2 0 -1 |
| 30.70 | 100.0 | 1 1 1 |
| 37.22 | 85.8 | 3 1 0 |
| 42.29 | 56.4 | 2 2 -1 |
| 45.86 | 26.0 | 2 2 1 |
| 46.71 | 22.3 | 0 0 2 |
| 48.96 | 40.2 | 1 1 -2 |

Crystal structure
```
SrMgCrO3
1.0
7.9611 0.0000 0.0000
0.0000 6.1239 0.0000
-0.5466 0.0000 3.8905
Sr Mg Cr O
2 2 2 6
direct
0.0000 0.0000 0.0000
0.5000 0.5000 0.0000
0.0776 0.5000 0.2894
0.5776 0.0000 0.2894
0.2987 0.0000 0.5976
0.7987 0.5000 0.5976
0.1003 0.2405 0.5621
0.1003 0.7595 0.5621
0.3367 0.0000 0.1028
0.6003 0.2595 0.5621
0.6003 0.7405 0.5621
0.8367 0.5000 0.1028
```

Entry 6:
SrCa7Mn8O24: computed powder XRD pattern (a wavelength of 1.5418 Å), based on the GGA+U geometry in the Materials Project.
Neutral-atom scattering factors, no anomalous dispersion.

Principal peaks in the range 2θ = 10–90°, sorted by position:
| 2θ/deg | Rel. int. | h k l |
| --- | --- | --- |
| 16.45 | 2.1 | 1 1 0 |
| 23.35 | 11.1 | 2 0 0 |
| 33.26 | 100.0 | 2 2 0 |
| 41.04 | 7.5 | 2 2 2 |
| 47.75 | 49.7 | 4 0 0 |
| 53.81 | 3.1 | 4 2 0 |
| 59.43 | 35.0 | 4 2 2 |
| 69.83 | 26.4 | 4 4 0 |
| 79.58 | 14.4 | 6 2 0 |
| 89.02 | 8.6 | 4 4 4 |

Crystal structure
```
SrCa7Mn8O24
1.0
7.6189 0.0000 0.0000
0.0000 7.6189 0.0000
0.0000 0.0000 7.6189
Sr Ca Mn O
1 7 8 24
direct
0.0000 0.0000 0.0000
0.0000 0.0000 0.5000
0.0000 0.5000 0.0000
0.0000 0.5000 0.5000
0.5000 0.0000 0.0000
0.5000 0.0000 0.5000
0.5000 0.5000 0.0000
0.5000 0.5000 0.5000
0.2504 0.2504 0.2504
0.2504 0.2504 0.7496
0.2504 0.7496 0.2504
0.2504 0.7496 0.7496
0.7496 0.2504 0.2504
0.7496 0.2504 0.7496
0.7496 0.7496 0.2504
0.7496 0.7496 0.7496
0.0000 0.2517 0.2517
0.0000 0.2517 0.7483
0.0000 0.7483 0.2517
0.0000 0.7483 0.7483
0.2501 0.2501 0.5000
0.2501 0.5000 0.2501
0.2501 0.5000 0.7499
0.2501 0.7499 0.5000
0.2517 0.0000 0.2517
0.2517 0.0000 0.7483
0.2517 0.2517 0.0000
0.2517 0.7483 0.0000
0.5000 0.2501 0.2501
0.5000 0.2501 0.7499
0.5000 0.7499 0.2501
0.5000 0.7499 0.7499
0.7483 0.0000 0.2517
0.7483 0.0000 0.7483
0.7483 0.2517 0.0000
0.7483 0.7483 0.0000
0.7499 0.2501 0.5000
0.7499 0.5000 0.2501
0.7499 0.5000 0.7499
0.7499 0.7499 0.5000
```